# Pm4Pr4Tm3
Calculated X-ray diffraction stick pattern, a wavelength of 1.5418 Å. Input: the GGA-PBE geometry in Alexandria.

Crystal structure
```
data_Pm4Pr4Tm3
_chemical_formula_sum 'Pm8 Pr8 Tm6'
_space_group_name_H-M_alt 'I m m m'
_space_group_IT_number 71
_space_group_name_Hall '-I 2 2'
_cell_length_a 3.6673
_cell_length_b 9.5490
_cell_length_c 21.8477
_cell_angle_alpha 90.00
_cell_angle_beta 90.00
_cell_angle_gamma 90.00
loop_
_atom_site_label
_atom_site_type_symbol
_atom_site_fract_x
_atom_site_fract_y
_atom_site_fract_z
Pm1 Pm 0.0000 0.0000 0.2370
Pm2 Pm 0.0000 0.1848 0.0000
Pr1 Pr 0.0000 0.3246 0.1428
Tm1 Tm 0.0000 0.0000 0.5000
Tm2 Tm 0.0000 0.5000 0.3944
```

Most intense lines, 10 to 80 degrees two-theta, in order of rising 2θ:
| 2theta | I (rel.) |
| --- | --- |
| 30.7 | 47 |
| 30.8 | 100 |
| 31.0 | 45 |
| 32.8 | 22 |
| 42.5 | 20 |
| 56.9 | 38 |


# Pm3Pr5Tm
Calculated X-ray diffraction stick pattern, a wavelength of 1.5418 Å. Input: the GGA-PBE geometry in Alexandria.

Crystal structure
```
data_Pm3Pr5Tm
_chemical_formula_sum 'Pm12 Pr20 Tm4'
_space_group_name_H-M_alt 'C 1 2/m 1'
_space_group_IT_number 12
_cell_length_a 11.6006
_cell_length_b 11.5697
_cell_length_c 11.7947
_cell_angle_alpha 90.00
_cell_angle_beta 115.40
_cell_angle_gamma 90.00
loop_
_space_group_symop_operation_xyz
'x,y,z'
'-x,-y,-z'
'-x,y,-z'
'x,-y,z'
'x+1/2,y+1/2,z'
'-x+1/2,-y+1/2,-z'
'-x+1/2,y+1/2,-z'
'x+1/2,-y+1/2,z'
loop_
_atom_site_label
_atom_site_type_symbol
_atom_site_fract_x
_atom_site_fract_y
_atom_site_fract_z
Pm1 Pm 0.0000 0.0000 0.0000
Pm2 Pm 0.0000 0.0000 0.5000
Pm3 Pm 0.1200 0.5000 0.1551
Pm4 Pm 0.2079 0.0000 0.3480
Pr1 Pr 0.0000 0.2544 0.0000
Pr2 Pr 0.0297 0.5000 0.3802
Pr3 Pr 0.1958 0.5000 0.9062
Pr4 Pr 0.2007 0.2337 0.6497
Tm1 Tm 0.0911 0.0000 0.7948
```

Most intense lines, 10 to 80 degrees two-theta, in order of rising 2θ:
| 2theta | I (rel.) |
| --- | --- |
| 15.3 | 68 |
| 26.8 | 42 |
| 30.9 | 100 |
| 31.1 | 56 |
| 31.9 | 61 |
| 32.6 | 47 |